(1)
The following is a simulated PXRD pattern of YHo2Pu3S6. It was derived from a GGA-PBE-relaxed structure, using Cu Kα X-rays.

Principal peaks in the range 10° ≤ 2θ ≤ 90°, in order of falling intensity:
d [Å]  intensity
2.775  100
3.206  69
1.965  37
1.960  36
1.674  27
3.200  23

Cell and atoms:
```
12
Lattice="8.559 -1.959 0.000 8.559 1.959 0.000 -1.770 0.000 7.646" Properties=species:S:1:pos:R:3 pbc="T T T"
Y 0.000 0.000 0.000
Ho 4.533 0.000 5.077
Ho 10.816 0.000 2.569
Pu -0.885 0.000 3.823
Pu 5.420 0.000 1.267
Pu 9.929 0.000 6.379
S 2.698 0.000 0.667
S 1.854 0.000 4.446
S 7.199 0.000 5.739
S 8.150 0.000 1.907
S 13.495 0.000 3.200
S 12.651 0.000 6.979
```

(2)
The following is a simulated PXRD pattern of Rb8Au6O. It was derived from a GGA-PBE-relaxed structure, using Cu Kα X-rays.

Principal peaks in the range 10° ≤ 2θ ≤ 90°, in order of falling intensity:
d [Å]  intensity
3.390  100
2.788  80
2.552  66
3.239  57
2.712  54
4.047  45

Cell and atoms:
```
15
Lattice="5.263 3.039 6.329 -5.263 3.039 6.329 0.000 -6.077 6.329" Properties=species:S:1:pos:R:3 pbc="T T T"
Rb 0.000 0.000 2.673
Rb -1.102 -2.031 7.905
Rb -2.310 -0.061 11.083
Rb -1.208 1.970 7.905
Rb 1.208 -1.970 11.083
Rb 2.310 0.061 7.905
Rb 1.102 2.031 11.083
Rb 0.000 0.000 16.315
Au -4.381 -0.194 8.248
Au -2.022 -3.891 10.741
Au 2.359 -3.697 8.248
Au -2.359 3.697 10.741
Au 2.022 3.891 8.248
Au 4.381 0.194 10.741
O 0.000 0.000 9.494
```

(3)
The following is a simulated PXRD pattern of CePm4SmSe8. It was derived from a GGA-PBE-relaxed structure, using Cu Kα X-rays.

Principal peaks in the range 10° ≤ 2θ ≤ 90°, in order of falling intensity:
d [Å]  intensity
2.166  100
3.695  89
3.064  52
2.358  49
4.333  25
1.251  23

Cell and atoms:
```
14
Lattice="4.335 2.503 7.068 -4.335 2.503 7.068 0.000 -5.005 7.068" Properties=species:S:1:pos:R:3 pbc="T T T"
Ce 0.000 0.000 0.000
Pm -2.168 -1.251 9.713
Pm 0.000 0.000 5.291
Pm 2.168 -1.251 9.713
Pm 0.000 2.503 9.713
Sm 0.000 0.000 13.249
Se 0.000 0.000 8.101
Se 0.000 -2.345 11.438
Se -2.031 1.172 11.438
Se -1.997 -1.153 15.073
Se 2.031 1.172 11.438
Se 1.997 -1.153 15.073
Se 0.000 2.306 15.073
Se 0.000 0.000 18.350
```

(4)
The following is a simulated PXRD pattern of La2Nd3Dy6Er. It was derived from a GGA-PBE-relaxed structure, using Cu Kα X-rays.

Principal peaks in the range 10° ≤ 2θ ≤ 90°, in order of falling intensity:
d [Å]  intensity
2.949  100
2.549  67
2.927  33
1.538  29
1.808  24
1.798  24

Cell and atoms:
```
12
Lattice="3.131 -5.422 0.000 3.131 5.422 0.000 -2.081 0.000 11.710" Properties=species:S:1:pos:R:3 pbc="T T T"
La 3.131 3.620 0.000
La 3.131 -3.620 0.000
Nd -1.041 0.000 5.855
Nd 2.090 1.808 5.855
Nd 2.090 -1.808 5.855
Dy 0.007 1.801 8.779
Dy 1.055 0.000 2.935
Dy 0.007 -1.801 8.779
Dy 4.174 1.801 2.931
Dy 3.126 0.000 8.775
Dy 4.174 -1.801 2.931
Er 3.131 0.000 0.000
```

(5)
The following is a simulated PXRD pattern of NaPaCrN3. It was derived from a GGA-PBE-relaxed structure, using Cu Kα X-rays.

Principal peaks in the range 10° ≤ 2θ ≤ 90°, in order of falling intensity:
d [Å]  intensity
6.554  100
2.807  46
2.500  40
3.221  26
4.098  24
2.655  20

Cell and atoms:
```
12
Lattice="6.723 -1.845 0.000 6.723 1.845 0.000 -1.802 0.000 6.554" Properties=species:S:1:pos:R:3 pbc="T T T"
Na 1.656 0.000 0.482
Na 9.988 0.000 6.072
Pa 1.075 0.000 3.976
Pa 10.569 0.000 2.578
Cr 5.456 0.000 4.380
Cr 6.189 0.000 2.174
N -0.450 0.000 1.996
N 3.395 0.000 4.015
N 4.360 0.000 1.342
N 7.284 0.000 5.212
N 8.250 0.000 2.540
N 12.094 0.000 4.558
```

(6)
The following is a simulated PXRD pattern of CsHoCuS2. It was derived from a GGA-PBE-relaxed structure, using Cu Kα X-rays.

Principal peaks in the range 10° ≤ 2θ ≤ 90°, in order of falling intensity:
d [Å]  intensity
3.970  100
7.941  77
2.931  75
2.684  70
2.268  63
4.068  60

Cell and atoms:
```
10
Lattice="8.059 0.000 0.000 0.000 4.737 0.000 -1.340 0.000 7.716" Properties=species:S:1:pos:R:3 pbc="T T T"
Cs -0.335 0.826 1.929
Cs -1.005 3.911 5.787
Ho 3.024 2.343 5.787
Ho 3.695 2.394 1.929
Cu 4.030 0.000 0.000
Cu 3.360 0.000 3.858
S 1.065 1.515 7.445
S 1.735 3.222 3.587
S 4.984 1.515 4.129
S 5.654 3.222 0.271
```

(7)
The following is a simulated PXRD pattern of Ag2Hg. It was derived from a GGA-PBE-relaxed structure, using Cu Kα X-rays.

Principal peaks in the range 10° ≤ 2θ ≤ 90°, in order of falling intensity:
d [Å]  intensity
2.348  100
2.457  56
2.320  38
2.015  33
1.288  29
2.824  25

Cell and atoms:
```
9
Lattice="8.134 0.000 0.000 -4.067 7.044 0.000 0.000 0.000 3.082" Properties=species:S:1:pos:R:3 pbc="T T T"
Ag -1.240 2.148 0.000
Ag -2.594 4.493 1.541
Ag 2.480 0.000 0.000
Ag 1.473 2.551 1.541
Ag 5.188 0.000 1.541
Ag 2.827 4.896 0.000
Hg 0.000 0.000 1.541
Hg 0.000 4.696 0.000
Hg 4.067 2.348 0.000
```

(8)
The following is a simulated PXRD pattern of Ag4OsRu. It was derived from a GGA-PBE-relaxed structure, using Cu Kα X-rays.

Principal peaks in the range 10° ≤ 2θ ≤ 90°, in order of falling intensity:
d [Å]  intensity
2.244  100
2.632  35
2.149  32
1.433  31
1.316  25
1.520  13

Cell and atoms:
```
6
Lattice="0.000 3.722 3.722 3.722 0.000 3.722 3.722 3.722 0.000" Properties=species:S:1:pos:R:3 pbc="T T T"
Ag 0.930 0.930 0.930
Ag 2.792 2.792 0.930
Ag 2.792 0.930 2.792
Ag 0.930 2.792 2.792
Os 5.583 5.583 5.583
Ru 3.722 3.722 3.722
```